Structure and theoretical powder diffractogram of NdSm2OsC2 (the PBE geometry in Alexandria; Cu Kα (λ = 1.5418 Å)).
Lines closer than 0.1° are merged.

Atomic structure:
```
data_NdSm2OsC2
_chemical_formula_sum 'Nd2 Sm4 Os2 C4'
_symmetry_space_group_name_H-M 'P 1'
_symmetry_Int_Tables_number 1
_cell_length_a 5.7323
_cell_length_b 11.2786
_cell_length_c 3.8797
_cell_angle_alpha 90.00
_cell_angle_beta 90.00
_cell_angle_gamma 90.00
loop_
_symmetry_equiv_pos_as_xyz
'x,y,z'
loop_
_atom_site_label
_atom_site_fract_x
_atom_site_fract_y
_atom_site_fract_z
_atom_site_occupancy
Nd1 0.0000 0.0000 0.0000 1
Nd2 0.5000 0.5000 0.5000 1
Sm1 0.0337 0.2952 0.5000 1
Sm2 0.4663 0.7952 0.0000 1
Sm3 0.5337 0.2048 0.0000 1
Sm4 0.9663 0.7048 0.5000 1
Os1 0.0000 0.5000 0.0000 1
Os2 0.5000 0.0000 0.5000 1
C1 0.2441 0.8835 0.5000 1
C2 0.2559 0.3835 0.0000 1
C3 0.7441 0.6165 0.0000 1
C4 0.7559 0.1165 0.5000 1
```

Principal peaks in the range 5 to 70 degrees two-theta, low angle first:
index, 2theta, I_rel
1 1 0, 17.35, 10
2 0 0, 31.21, 27
0 4 0, 31.73, 15
1 2 1, 32.06, 100
0 3 1, 33.18, 9
1 5 0, 43.09, 7
2 4 0, 45.11, 13
2 3 1, 46.19, 7
0 0 2, 46.83, 11
3 2 1, 56.08, 18
2 0 2, 57.36, 10
2 4 2, 67.05, 8